# 1
Structure and simulated powder diffractogram of KH7Pd2 (a crystal structure in Alexandria, relaxed with GGA-PBE; Cu Kα (weighted mean of Kα1 and Kα2)).
No peak broadening, texture or thermal motion is included.

Cell and atoms:
```
KH7Pd2
1.0
2.622 -4.952 0.000
2.622 4.952 0.000
0.000 0.000 3.621
K H Pd
1 7 2
Direct
0.000 0.000 0.000
0.015 0.337 0.500
0.328 0.672 0.000
0.337 0.015 0.500
0.500 0.500 0.500
0.663 0.985 0.500
0.672 0.328 0.000
0.985 0.663 0.500
0.318 0.682 0.500
0.682 0.318 0.500
```

Main lines, in order of falling intensity (15 to 90 degrees two-theta):
Position (°2θ)	d/Å	Rel. int.
32.04	2.794	100
30.58	2.923	63
31.35	2.853	58
24.58	3.621	53
34.20	2.622	46
40.79	2.212	44
55.72	1.650	41
17.91	4.952	38
46.53	1.952	36
60.98	1.519	30
42.57	2.124	22
59.87	1.545	16


# 2
Structure and simulated powder diffractogram of KHPd (a crystal structure in Alexandria, relaxed with GGA-PBE; Cu Kα (weighted mean of Kα1 and Kα2)).
No peak broadening, texture or thermal motion is included.

Cell and atoms:
```
KHPd
1.0
5.488 0.000 0.000
0.000 8.958 0.000
0.000 0.000 5.521
K H Pd
4 4 4
Direct
0.000 0.170 0.250
0.000 0.830 0.750
0.500 0.330 0.750
0.500 0.670 0.250
0.000 0.380 0.750
0.000 0.620 0.250
0.500 0.120 0.250
0.500 0.880 0.750
0.000 0.500 0.000
0.000 0.500 0.500
0.500 0.000 0.000
0.500 0.000 0.500
```

Main lines, in order of falling intensity (15 to 90 degrees two-theta):
Position (°2θ)	d/Å	Rel. int.
18.96	4.680	100
37.84	2.378	68
34.19	2.623	61
19.82	4.479	41
32.63	2.744	36
38.30	2.350	34
51.18	1.785	29
24.94	3.570	16
61.70	1.503	15
38.47	2.340	15
64.26	1.449	15
63.31	1.469	14


# 3
Structure and simulated powder diffractogram of KPrH6Pd2 (a crystal structure in Alexandria, relaxed with GGA-PBE; Cu Kα (weighted mean of Kα1 and Kα2)).
No peak broadening, texture or thermal motion is included.

Cell and atoms:
```
KPrH6Pd2
1.0
4.674 -4.335 0.000
4.674 4.335 0.000
-0.370 0.000 6.707
K Pr H Pd
2 2 12 4
Direct
0.134 0.866 0.750
0.866 0.134 0.250
0.365 0.635 0.250
0.635 0.365 0.750
0.040 0.783 0.115
0.217 0.960 0.385
0.257 0.275 0.644
0.275 0.257 0.144
0.349 0.540 0.903
0.460 0.651 0.597
0.540 0.349 0.403
0.651 0.460 0.097
0.725 0.743 0.856
0.743 0.725 0.356
0.783 0.040 0.615
0.960 0.217 0.885
0.170 0.359 0.897
0.359 0.170 0.397
0.641 0.830 0.603
0.830 0.641 0.103
```

Main lines, in order of falling intensity (15 to 90 degrees two-theta):
Position (°2θ)	d/Å	Rel. int.
30.69	2.913	100
18.88	4.701	86
31.62	2.830	63
30.61	2.921	51
45.66	1.987	42
38.59	2.333	37
34.94	2.568	30
33.76	2.655	29
39.81	2.265	26
34.04	2.634	24
59.62	1.551	23
41.67	2.168	22